Co3As2H16O16: simulated powder diffraction line list (CuKα), based on DFT lattice parameters and positions (PBE+U).
Lines closer than 0.1° are merged.

Top 12 peaks for 2θ from 10° to 90°, sorted by position:
2θ 11.08, I 43
2θ 13.13, I 100
2θ 20.20, I 17
2θ 27.60, I 40
2θ 29.58, I 27
2θ 29.82, I 18
2θ 32.48, I 27
2θ 32.90, I 22
2θ 33.68, I 16
2θ 36.65, I 20
2θ 38.59, I 19
2θ 54.41, I 19

Structural model:
Unit cell a=8.464 b=8.464 c=4.765 alpha=98.69 beta=98.69 gamma=105.63
Positions (direct):
Co (0.000, 0.000, 0.000)
Co (0.386, 0.614, 0.000)
Co (0.614, 0.386, 0.000)
As (0.321, 0.321, 0.364)
As (0.679, 0.679, 0.636)
H (0.042, 0.204, 0.635)
H (0.060, 0.317, 0.944)
H (0.177, 0.581, 0.513)
H (0.186, 0.751, 0.721)
H (0.204, 0.042, 0.635)
H (0.249, 0.814, 0.279)
H (0.317, 0.060, 0.944)
H (0.419, 0.823, 0.487)
H (0.581, 0.177, 0.513)
H (0.683, 0.940, 0.056)
H (0.751, 0.186, 0.721)
H (0.796, 0.958, 0.365)
H (0.814, 0.249, 0.279)
H (0.823, 0.419, 0.487)
H (0.940, 0.683, 0.056)
H (0.958, 0.796, 0.365)
O (0.015, 0.787, 0.196)
O (0.152, 0.152, 0.376)
O (0.176, 0.632, 0.714)
O (0.213, 0.985, 0.804)
O (0.234, 0.454, 0.195)
O (0.368, 0.824, 0.286)
O (0.412, 0.412, 0.721)
O (0.454, 0.234, 0.195)
O (0.546, 0.766, 0.805)
O (0.588, 0.588, 0.279)
O (0.632, 0.176, 0.714)
O (0.766, 0.546, 0.805)
O (0.787, 0.015, 0.196)
O (0.824, 0.368, 0.286)
O (0.848, 0.848, 0.624)
O (0.985, 0.213, 0.804)